Entry 1:
Theoretical powder diffraction line list of CsLiMg6O7 for Cu Ka, from a PBE-relaxed structure.
Peak positions follow from Bragg's law for the DFT cell and can differ from measured ones.

Cell lengths 4.5497, 4.5497, 8.5216 Å; angles 90.00, 90.00, 90.00 degrees
Element x y z (fractional)
Cs (0.0000, 0.0000, 0.0000)
Li (0.5000, 0.5000, 0.8960)
Mg (0.0000, 0.0000, 0.4326)
Mg (0.0000, 0.5000, 0.1585)
Mg (0.0000, 0.5000, 0.6770)
Mg (0.5000, 0.0000, 0.1585)
Mg (0.5000, 0.0000, 0.6770)
Mg (0.5000, 0.5000, 0.4106)
O (0.0000, 0.0000, 0.6544)
O (0.0000, 0.5000, 0.3926)
O (0.0000, 0.5000, 0.9087)
O (0.5000, 0.0000, 0.3926)
O (0.5000, 0.0000, 0.9087)
O (0.5000, 0.5000, 0.1679)
O (0.5000, 0.5000, 0.6461)

Most intense lines, 5° ≤ 2θ ≤ 70°, by intensity:
39.6 deg, intensity 100, hkl 2 0 0
22.1 deg, intensity 78, hkl 1 0 1
28.7 deg, intensity 60, hkl 1 0 2
34.9 deg, intensity 53, hkl 1 1 2
10.4 deg, intensity 52, hkl 0 0 1
19.5 deg, intensity 43, hkl 1 0 0
51.5 deg, intensity 31, hkl 1 1 4
57.3 deg, intensity 30, hkl 2 2 0
37.3 deg, intensity 28, hkl 1 0 3
42.4 deg, intensity 28, hkl 0 0 4

Entry 2:
Theoretical powder diffraction line list of CsLiMg14O15 for Cu Ka, from a PBE-relaxed structure.
Peak positions follow from Bragg's law for the DFT cell and can differ from measured ones.

Cell lengths 4.1802, 8.2351, 10.6981 Å; angles 90.00, 90.00, 90.00 degrees
Element x y z (fractional)
Cs (0.0000, 0.0000, 0.0000)
Li (0.0000, 0.5000, 0.5706)
Mg (0.0000, 0.0000, 0.5439)
Mg (0.0000, 0.2322, 0.3330)
Mg (0.0000, 0.2591, 0.7432)
Mg (0.0000, 0.5000, 0.0422)
Mg (0.0000, 0.7409, 0.7432)
Mg (0.0000, 0.7678, 0.3330)
Mg (0.5000, 0.0000, 0.3362)
Mg (0.5000, 0.0000, 0.7359)
Mg (0.5000, 0.2599, 0.5543)
Mg (0.5000, 0.2617, 0.1401)
Mg (0.5000, 0.5000, 0.3689)
Mg (0.5000, 0.5000, 0.8282)
Mg (0.5000, 0.7383, 0.1401)
Mg (0.5000, 0.7401, 0.5543)
O (0.0000, 0.0000, 0.3560)
O (0.0000, 0.0000, 0.7364)
O (0.0000, 0.2589, 0.5429)
O (0.0000, 0.3031, 0.1527)
O (0.0000, 0.5000, 0.8149)
O (0.0000, 0.6969, 0.1527)
O (0.0000, 0.7411, 0.5429)
O (0.5000, 0.0000, 0.1502)
O (0.5000, 0.0000, 0.5420)
O (0.5000, 0.2498, 0.7582)
O (0.5000, 0.2699, 0.3372)
O (0.5000, 0.5000, 0.0266)
O (0.5000, 0.5000, 0.5465)
O (0.5000, 0.7301, 0.3372)
O (0.5000, 0.7502, 0.7582)

Most intense lines, 5° ≤ 2θ ≤ 70°, by intensity:
43.3 deg, intensity 100, hkl 2 0 0
27.3 deg, intensity 98, hkl 0 2 2
34.9 deg, intensity 92, hkl 1 2 2
44.0 deg, intensity 85, hkl 0 4 0
10.7 deg, intensity 81, hkl 0 1 0
29.2 deg, intensity 66, hkl 1 1 2
23.1 deg, intensity 63, hkl 0 2 1
63.4 deg, intensity 50, hkl 2 4 0
31.6 deg, intensity 47, hkl 1 2 1
22.8 deg, intensity 41, hkl 1 0 1